Diffraction record for Tl2ZnMoF6. The XRD peak list is simulated, not measured: it uses DFT lattice parameters and positions (GGA+U) and Cu Kα (weighted mean of Kα1 and Kα2).
Kinematic intensities with the Lorentz-polarization factor, no thermal factor.

Cell and atoms:
Cell lengths 5.925, 6.331, 8.537 Å; angles 90.00, 90.00, 90.00 degrees
Space group Immm (No. 71)
Inequivalent atoms, fractional coordinates:
1 Tl 0.000 0.000 0.245 x4
2 Zn 0.000 0.500 0.000 x2
3 Mo 0.000 0.500 0.500 x2
4 F 0.000 0.500 0.245 x4
5 F 0.248 0.226 0.500 x8

Peak list (10 most intense, 10° ≤ 2θ ≤ 90°, sorted by position)
20.53 deg, I = 14, (1 1 0); 28.19 deg, I = 28, (0 2 0); 29.40 deg, I = 100, (1 1 2); 30.17 deg, I = 23, (2 0 0); 35.30 deg, I = 13, (0 2 2); 41.76 deg, I = 32, (2 2 0); 42.35 deg, I = 16, (0 0 4); 50.66 deg, I = 23, (1 3 2); 53.11 deg, I = 20, (3 1 2); 60.99 deg, I = 20, (2 2 4)